Record 1
Starting from DFT lattice parameters and positions (PBE), the X-ray powder pattern of BaMg2H8Ru was computed for copper Kα.

Largest 10 diffraction maxima, in order of rising 2θ, 10 to 90 degrees two-theta:
d (Å)	I (rel.)	h k l
4.949	42	1 0 0
4.496	53	1 0 1
3.642	38	1 0 2
2.934	100	1 1 2
2.904	60	1 0 3
2.475	50	2 0 0
1.884	34	2 1 3
1.750	18	2 2 0
1.596	22	1 1 6
1.503	26	3 1 2

Structural model:
Unit cell a=4.949 b=4.949 c=10.760 alpha=90.00 beta=90.00 gamma=90.00
Space group P4_2/mmc (No. 131)
Asymmetric unit:
Ba1 0.000 0.500 0.000
Mg1 0.000 0.500 0.360
H1 0.000 0.000 0.093
H2 0.244 0.244 0.250
H3 0.252 0.500 0.500
Ru1 0.000 0.000 0.250



Record 2
Starting from DFT lattice parameters and positions (PBE), the X-ray powder pattern of Ba2MgH6Ru was computed for copper Kα.

Largest 10 diffraction maxima, in order of rising 2θ, 10 to 90 degrees two-theta:
d (Å)	I (rel.)	h k l
5.086	20	0 0 1
3.597	100	1 0 1
2.938	93	1 1 0
2.544	21	1 1 1
2.275	73	1 0 2
1.799	49	0 2 2
1.696	19	3 0 0
1.609	15	0 1 3
1.534	25	2 1 2
1.234	20	1 3 2

Structural model:
Unit cell a=5.8758 b=5.8758 c=5.0861 alpha=90.00 beta=90.00 gamma=120.00
Space group P-3m1 (No. 164)
Asymmetric unit:
Ba1 0.3333 0.6667 0.2968
Mg1 0.0000 0.0000 0.0000
H1 0.1431 0.2862 0.7042
Ru1 0.0000 0.0000 0.5000



Record 3
Starting from DFT lattice parameters and positions (PBE), the X-ray powder pattern of Ba3Mg2H5S2 was computed for copper Kα.

Largest 10 diffraction maxima, in order of rising 2θ, 10 to 90 degrees two-theta:
d (Å)	I (rel.)	h k l
4.309	52	1 0 1
4.016	47	0 0 6
3.241	87	1 0 5
3.097	100	1 1 0
2.706	22	1 0 7
2.452	54	1 1 6
2.190	39	2 0 0
1.922	25	2 0 6
1.814	34	2 1 5
1.385	17	3 1 0

Structural model:
Unit cell a=4.379 b=4.379 c=24.095 alpha=90.00 beta=90.00 gamma=90.00
Space group I4/mmm (No. 139)
Asymmetric unit:
Ba1 0.000 0.000 0.000
Ba2 0.000 0.000 0.178
Mg1 0.000 0.000 0.414
H1 0.000 0.000 0.500
H2 0.000 0.500 0.078
S1 0.000 0.000 0.310



Please write out number 3 again, unchanged.
Starting from DFT lattice parameters and positions (PBE), the X-ray powder pattern of Ba3Mg2H5S2 was computed for copper Kα.

Largest 10 diffraction maxima, in order of rising 2θ, 10 to 90 degrees two-theta:
d (Å)	I (rel.)	h k l
4.309	52	1 0 1
4.016	47	0 0 6
3.241	87	1 0 5
3.097	100	1 1 0
2.706	22	1 0 7
2.452	54	1 1 6
2.190	39	2 0 0
1.922	25	2 0 6
1.814	34	2 1 5
1.385	17	3 1 0

Structural model:
Unit cell a=4.379 b=4.379 c=24.095 alpha=90.00 beta=90.00 gamma=90.00
Space group I4/mmm (No. 139)
Asymmetric unit:
Ba1 0.000 0.000 0.000
Ba2 0.000 0.000 0.178
Mg1 0.000 0.000 0.414
H1 0.000 0.000 0.500
H2 0.000 0.500 0.078
S1 0.000 0.000 0.310